# PmSmPb2
Calculated PXRD pattern, CuKα. Input: DFT lattice parameters and positions (GGA-PBE).

Crystal structure
```
data_PmSmPb2
_symmetry_space_group_name_H-M 'P 1 m 1'
_symmetry_Int_Tables_number 6
_cell_length_a 4.624
_cell_length_b 4.511
_cell_length_c 6.381
_cell_angle_alpha 90.00
_cell_angle_beta 111.19
_cell_angle_gamma 90.00
loop_
_symmetry_equiv_pos_as_xyz
'x,y,z'
'x,-y,z'
loop_
_atom_site_label
_atom_site_type_symbol
_atom_site_fract_x
_atom_site_fract_y
_atom_site_fract_z
_atom_site_occupancy
Pm1 Pm 0.000 0.000 0.000 1
Sm1 Sm 0.262 0.500 0.527 1
Pb1 Pb 0.534 0.500 0.068 1
Pb2 Pb 0.728 0.000 0.459 1
```

Peak list (10 most intense, 10 to 90 degrees two-theta, by angle)
two_theta	intensity	hkl
28.6	100	1 1 -1
30.0	40	0 0 2
35.9	90	1 1 1
39.0	27	2 0 -1
40.0	25	0 2 0
50.0	20	2 0 -3
50.8	19	0 2 2
57.0	18	2 2 -1
65.8	27	2 2 -3
68.6	14	3 1 0

# Pm5Sn5Pb2
Calculated PXRD pattern, CuKα. Input: DFT lattice parameters and positions (GGA-PBE).

Crystal structure
```
data_Pm5Sn5Pb2
_symmetry_space_group_name_H-M 'C 1 2/m 1'
_symmetry_Int_Tables_number 12
_cell_length_a 16.145
_cell_length_b 4.467
_cell_length_c 10.549
_cell_angle_alpha 90.00
_cell_angle_beta 97.18
_cell_angle_gamma 90.00
loop_
_symmetry_equiv_pos_as_xyz
'x,y,z'
'-x,-y,-z'
'-x,y,-z'
'x,-y,z'
'x+1/2,y+1/2,z'
'-x+1/2,-y+1/2,-z'
'-x+1/2,y+1/2,-z'
'x+1/2,-y+1/2,z'
loop_
_atom_site_label
_atom_site_type_symbol
_atom_site_fract_x
_atom_site_fract_y
_atom_site_fract_z
_atom_site_occupancy
Pm1 Pm 0.000 0.000 0.000 1
Pm2 Pm 0.121 0.000 0.396 1
Pm3 Pm 0.213 0.500 0.859 1
Sn1 Sn 0.000 0.500 0.500 1
Sn2 Sn 0.131 0.500 0.125 1
Sn3 Sn 0.247 0.000 0.648 1
Pb1 Pb 0.073 0.000 0.722 1
```

Peak list (10 most intense, 10 to 90 degrees two-theta, by angle)
two_theta	intensity	hkl
20.6	29	1 1 0
26.6	39	2 0 -3
28.0	100	3 1 1
30.0	54	3 1 -2
32.5	65	1 1 -3
35.7	35	6 0 1
36.4	30	5 1 1
37.0	57	5 1 -2
37.5	34	2 0 4
40.4	57	0 2 0